Record 1
Diffraction record for Zn3AgAu12. The powder XRD pattern is calculated, not measured: it uses a DFT-relaxed cell (PBE, Alexandria) and λ = 1.5418 Å (Cu Kα).
Intensities are scaled so that the largest is 100.

The 8 most intense peaks (10° ≤ 2θ ≤ 90°), in order of rising 2θ:
- 37.88 deg, I 100
- 43.50 deg, I 34
- 45.04 deg, I 15
- 63.21 deg, I 11
- 64.41 deg, I 21
- 76.11 deg, I 27
- 78.32 deg, I 12
- 80.95 deg, I 11

Structural model:
```
Zn3AgAu12
1.0
4.161 0.000 0.000
0.000 4.161 0.000
0.000 0.000 16.101
Zn Ag Au
3 1 12
direct
0.000 0.000 0.000
0.000 0.000 0.250
0.000 0.000 0.750
0.000 0.000 0.500
0.000 0.500 0.123
0.000 0.500 0.370
0.000 0.500 0.630
0.000 0.500 0.877
0.500 0.000 0.123
0.500 0.000 0.370
0.500 0.000 0.630
0.500 0.000 0.877
0.500 0.500 0.000
0.500 0.500 0.247
0.500 0.500 0.500
0.500 0.500 0.753
```

***

Record 2
Diffraction record for Zn7Ag2Au. The powder XRD pattern is calculated, not measured: it uses a DFT-relaxed cell (PBE, Alexandria) and λ = 1.5418 Å (Cu Kα).
Intensities are scaled so that the largest is 100.

The 8 most intense peaks (10° ≤ 2θ ≤ 90°), in order of rising 2θ:
- 23.49 deg, I 38
- 29.76 deg, I 33
- 29.98 deg, I 29
- 40.26 deg, I 58
- 41.62 deg, I 100
- 41.79 deg, I 60
- 41.93 deg, I 77
- 46.22 deg, I 25

Structural model:
```
Zn7Ag2Au
1.0
4.234 -2.161 0.000
4.234 2.161 0.000
-3.619 0.000 9.005
Zn Ag Au
7 2 1
direct
0.000 0.000 0.000
0.000 0.000 0.284
0.202 0.202 0.552
0.397 0.397 0.117
0.402 0.402 0.827
0.443 0.443 0.445
0.975 0.975 0.676
0.698 0.698 0.054
0.722 0.722 0.373
0.690 0.690 0.735
```

***

Record 3
Diffraction record for Zn6AgAu2. The powder XRD pattern is calculated, not measured: it uses a DFT-relaxed cell (PBE, Alexandria) and λ = 1.5418 Å (Cu Kα).
Intensities are scaled so that the largest is 100.

The 8 most intense peaks (10° ≤ 2θ ≤ 90°), in order of rising 2θ:
- 24.04 deg, I 20
- 37.64 deg, I 68
- 38.56 deg, I 63
- 41.53 deg, I 97
- 41.76 deg, I 100
- 54.99 deg, I 44
- 70.60 deg, I 21
- 70.75 deg, I 20

Structural model:
```
Zn6AgAu2
1.0
3.699 -2.390 0.000
3.699 2.390 0.000
-1.142 0.000 8.100
Zn Ag Au
6 1 2
direct
0.010 0.010 0.339
0.323 0.323 0.884
0.326 0.326 0.553
0.674 0.674 0.447
0.677 0.677 0.116
0.990 0.990 0.661
0.000 0.000 0.000
0.352 0.352 0.224
0.648 0.648 0.776
```

***

Record 4
Diffraction record for Zn8Ag6Au. The powder XRD pattern is calculated, not measured: it uses a DFT-relaxed cell (PBE, Alexandria) and λ = 1.5418 Å (Cu Kα).
Intensities are scaled so that the largest is 100.

The 8 most intense peaks (10° ≤ 2θ ≤ 90°), in order of rising 2θ:
- 26.14 deg, I 23
- 32.86 deg, I 22
- 38.53 deg, I 100
- 41.43 deg, I 41
- 41.95 deg, I 17
- 46.69 deg, I 17
- 53.44 deg, I 21
- 57.77 deg, I 15

Structural model:
```
Zn8Ag6Au
1.0
9.073 0.000 0.000
-4.536 7.857 0.000
0.000 0.000 3.784
Zn Ag Au
8 6 1
direct
0.037 0.280 0.225
0.243 0.963 0.225
0.280 0.243 0.775
0.333 0.667 0.754
0.667 0.333 0.246
0.720 0.757 0.225
0.757 0.037 0.775
0.963 0.720 0.775
0.113 0.621 0.254
0.379 0.492 0.254
0.492 0.113 0.746
0.508 0.887 0.254
0.621 0.508 0.746
0.887 0.379 0.746
0.000 0.000 0.500
```